For Zr3MnTe, a PBE-relaxed structure gives the theoretical powder X-ray diffraction pattern in this record (Cu Ka).
Kinematic intensities with the Lorentz-polarization factor, no thermal factor.

Most intense lines, 15 to 90 degrees two-theta, low angle first:
2θ/deg, Rel. int., (hkl)
18.33, 2, 1 0 0
26.04, 16, 1 1 0
32.04, 100, 1 1 1
37.16, 87, 2 0 0
45.94, 7, 2 1 1
53.56, 59, 2 2 0
60.50, 3, 3 1 0
63.79, 40, 3 1 1
66.99, 20, 2 2 2
73.18, 3, 3 2 1
79.17, 9, 4 0 0
87.96, 17, 3 3 1

Cell and atoms:
a b c (Å): 4.8391 4.8391 4.8391
angles (deg): 90.00 90.00 90.00
Space group Pm-3m (No. 221)
Unique sites:
Zr1 0.0000 0.0000 0.5000 x3
Mn1 0.0000 0.0000 0.0000 x1
Te1 0.5000 0.5000 0.5000 x1



For Zr4Mn2Te9, a PBE-relaxed structure gives the theoretical powder X-ray diffraction pattern in this record (Cu Ka).
Kinematic intensities with the Lorentz-polarization factor, no thermal factor.

Most intense lines, 15 to 90 degrees two-theta, low angle first:
2θ/deg, Rel. int., (hkl)
16.89, 12, 0 1 2
28.41, 100, 1 1 3
37.05, 57, 1 1 6
43.93, 41, 3 0 0
48.51, 22, 1 1 9
53.15, 17, 2 2 3
58.78, 14, 2 2 6
67.51, 8, 2 2 9
71.35, 14, 4 1 3
73.39, 17, 3 0 12
76.21, 13, 4 1 6
84.10, 9, 4 1 9

Cell and atoms:
a b c (Å): 7.1391 7.1391 19.8540
angles (deg): 90.00 90.00 120.00
Space group P-3c1 (No. 165)
Unique sites:
Zr1 0.3333 0.6667 0.3315 x4
Zr2 0.3333 0.6667 0.4970 x4
Mn1 0.0000 0.0000 0.1666 x4
Te1 0.0000 0.3259 0.2500 x6
Te2 0.0067 0.3361 0.5861 x12



For Th6Mn23, a PBE-relaxed structure gives the theoretical powder X-ray diffraction pattern in this record (Cu Ka).
Kinematic intensities with the Lorentz-polarization factor, no thermal factor.

Most intense lines, 15 to 90 degrees two-theta, low angle first:
2θ/deg, Rel. int., (hkl)
25.42, 55, 2 2 2
29.43, 36, 4 0 0
32.14, 32, 3 3 1
36.26, 36, 4 2 2
38.54, 100, 3 3 3
42.11, 85, 4 4 0
53.95, 23, 5 5 1
58.40, 19, 7 3 1
62.65, 27, 7 3 3
65.22, 28, 8 2 2
66.74, 16, 5 5 5
82.14, 28, 7 7 3

Cell and atoms:
a b c (Å): 12.1382 12.1382 12.1382
angles (deg): 90.00 90.00 90.00
Space group Fm-3m (No. 225)
Unique sites:
Th1 0.0000 0.0000 0.2080 x24
Mn1 0.0000 0.0000 0.5000 x4
Mn2 0.0000 0.2500 0.2500 x24
Mn3 0.1176 0.1176 0.3824 x32
Mn4 0.1806 0.1806 0.1806 x32



For ThMn12, a PBE-relaxed structure gives the theoretical powder X-ray diffraction pattern in this record (Cu Ka).
Kinematic intensities with the Lorentz-polarization factor, no thermal factor.

Most intense lines, 15 to 90 degrees two-theta, low angle first:
2θ/deg, Rel. int., (hkl)
21.61, 26, 1 0 1
30.47, 72, 2 1 1
33.84, 23, 3 1 0
37.42, 47, 3 0 1
38.14, 18, 0 0 2
43.20, 55, 4 0 0
43.41, 100, 3 2 1
44.05, 72, 2 0 2
62.91, 17, 5 2 1
63.40, 16, 4 2 2
72.58, 21, 3 2 3
79.37, 18, 6 3 1

Cell and atoms:
a b c (Å): 8.3769 8.3769 4.7189
angles (deg): 90.00 90.00 90.00
Space group I4/mmm (No. 139)
Unique sites:
Th1 0.0000 0.0000 0.0000 x2
Mn1 0.0000 0.2327 0.5000 x8
Mn2 0.0000 0.3672 0.0000 x8
Mn3 0.2500 0.2500 0.2500 x8



For TmTh2Mn, a PBE-relaxed structure gives the theoretical powder X-ray diffraction pattern in this record (Cu Ka).
Kinematic intensities with the Lorentz-polarization factor, no thermal factor.

Most intense lines, 15 to 90 degrees two-theta, low angle first:
2θ/deg, Rel. int., (hkl)
26.98, 18, 2 1 0
29.20, 20, 2 0 1
30.68, 22, 2 1 1
31.43, 100, 0 3 1
31.61, 33, 1 0 2
32.98, 39, 1 1 2
33.95, 26, 1 3 1
34.76, 54, 2 2 1
37.95, 20, 2 3 0
54.25, 26, 4 0 1
54.49, 24, 1 3 3
57.03, 21, 3 3 2

Cell and atoms:
a b c (Å): 7.0365 9.6278 6.1837
angles (deg): 90.00 90.00 90.00
Space group Pnma (No. 62)
Unique sites:
Tm1 0.0499 0.2500 0.1507 x4
Th1 0.1672 0.0675 0.6745 x8
Mn1 0.1036 0.7500 0.4066 x4



For ThU2Mn9, a PBE-relaxed structure gives the theoretical powder X-ray diffraction pattern in this record (Cu Ka).
Kinematic intensities with the Lorentz-polarization factor, no thermal factor.

Most intense lines, 15 to 90 degrees two-theta, low angle first:
2θ/deg, Rel. int., (hkl)
16.76, 49, 0 0 1
27.52, 30, 2 0 1
29.64, 41, 2 1 1
33.88, 35, 0 0 2
34.59, 34, 3 1 0
38.67, 100, 3 1 1
40.58, 35, 2 0 2
42.11, 73, 2 1 2
43.30, 65, 3 2 1
60.14, 28, 5 1 1
63.82, 24, 3 1 3
68.25, 29, 5 1 2

Cell and atoms:
a b c (Å): 8.2002 8.2002 5.2913
angles (deg): 90.00 90.00 90.00
Space group P4/mbm (No. 127)
Unique sites:
Th1 0.0000 0.0000 0.0000 x2
U1 0.1131 0.3869 0.0000 x4
Mn1 0.0000 0.5000 0.5000 x2
Mn2 0.0688 0.2094 0.5000 x8
Mn3 0.1833 0.6833 0.2532 x8



For YThMn17, a PBE-relaxed structure gives the theoretical powder X-ray diffraction pattern in this record (Cu Ka).
Kinematic intensities with the Lorentz-polarization factor, no thermal factor.

Most intense lines, 15 to 90 degrees two-theta, low angle first:
2θ/deg, Rel. int., (hkl)
24.88, 20, 0 2 1
30.80, 49, 1 1 3
32.43, 34, 2 1 1
35.84, 46, 3 0 0
38.99, 64, 0 2 4
41.62, 91, 2 2 0
42.89, 100, 3 0 3
44.43, 34, 2 1 4
45.63, 24, 2 0 5
46.51, 22, 0 0 6
61.30, 31, 1 4 3
83.74, 21, 0 4 8

Cell and atoms:
a b c (Å): 8.6796 8.6796 11.7149
angles (deg): 90.00 90.00 120.00
Space group R3m (No. 160, hexagonal axes)
Unique sites:
Y1 0.0000 0.0000 0.0000 x3
Th1 0.0000 0.0000 0.2933 x3
Mn1 0.0000 0.0000 0.5481 x3
Mn2 0.0000 0.0000 0.7463 x3
Mn3 0.0005 0.2731 0.6481 x18
Mn4 0.0134 0.5067 0.5079 x9
Mn5 0.1677 0.3353 0.4825 x9
Mn6 0.1735 0.3471 0.1189 x9



For Y3Th3Mn23, a PBE-relaxed structure gives the theoretical powder X-ray diffraction pattern in this record (Cu Ka).
Kinematic intensities with the Lorentz-polarization factor, no thermal factor.

Most intense lines, 15 to 90 degrees two-theta, low angle first:
2θ/deg, Rel. int., (hkl)
24.33, 21, 0 2 1
25.44, 35, 2 0 2
29.49, 34, 0 2 4
32.18, 42, 2 0 5
36.29, 41, 3 0 0
38.58, 100, 3 0 3
38.72, 38, 0 0 9
42.11, 71, 2 2 0
42.28, 73, 2 0 8
44.89, 27, 0 3 6
62.71, 27, 0 5 1
65.35, 15, 2 3 8

Cell and atoms:
a b c (Å): 8.5833 8.5833 20.9009
angles (deg): 90.00 90.00 120.00
Space group R3m (No. 160, hexagonal axes)
Unique sites:
Y1 0.1955 0.3910 0.0000 x9
Th1 0.0565 0.5282 0.1380 x9
Mn1 0.0000 0.0000 0.0241 x3
Mn2 0.0000 0.0000 0.2253 x3
Mn3 0.0000 0.0000 0.5794 x3
Mn4 0.0000 0.0000 0.7792 x3
Mn5 0.0000 0.0000 0.9050 x3
Mn6 0.0088 0.5044 0.5273 x9
Mn7 0.0105 0.5052 0.9046 x9
Mn8 0.0938 0.1876 0.1270 x9
Mn9 0.1679 0.3357 0.7316 x9
Mn10 0.1689 0.3377 0.6078 x9
Mn11 0.1929 0.0965 0.6745 x9



For Th2MnZn16, a PBE-relaxed structure gives the theoretical powder X-ray diffraction pattern in this record (Cu Ka).
Kinematic intensities with the Lorentz-polarization factor, no thermal factor.

Most intense lines, 15 to 90 degrees two-theta, low angle first:
2θ/deg, Rel. int., (hkl)
28.21, 49, 1 1 3
34.33, 41, 3 0 0
35.45, 29, 0 2 4
39.85, 62, 2 2 0
40.09, 100, 0 3 3
40.80, 50, 0 0 6
41.07, 19, 2 0 5
57.79, 30, 4 1 3
58.35, 29, 2 2 6
65.37, 18, 3 3 3
72.38, 22, 6 0 0
73.77, 19, 0 3 9

Cell and atoms:
a b c (Å): 9.0482 9.0482 13.2749
angles (deg): 90.00 90.00 120.00
Space group R3m (No. 160, hexagonal axes)
Unique sites:
Th1 0.0000 0.0000 0.0000 x3
Th2 0.0000 0.0000 0.3241 x3
Mn1 0.0000 0.0000 0.5598 x3
Zn1 0.0000 0.0000 0.7609 x3
Zn2 0.0002 0.2878 0.6582 x18
Zn3 0.0008 0.5004 0.8102 x9
Zn4 0.0027 0.5014 0.1588 x9
Zn5 0.1716 0.3433 0.8409 x9



For ThMnZn17, a PBE-relaxed structure gives the theoretical powder X-ray diffraction pattern in this record (Cu Ka).
Kinematic intensities with the Lorentz-polarization factor, no thermal factor.

Most intense lines, 15 to 90 degrees two-theta, low angle first:
2θ/deg, Rel. int., (hkl)
28.32, 10, 1 1 3
29.21, 9, 1 0 4
34.71, 27, 3 0 0
35.56, 22, 0 2 4
40.35, 100, 2 2 0
40.68, 19, 0 0 6
41.08, 23, 2 0 5
45.38, 26, 2 2 3
66.06, 11, 3 3 3
73.24, 14, 6 0 0
73.82, 16, 0 3 9
87.33, 9, 0 6 6

Cell and atoms:
a b c (Å): 8.9536 8.9536 13.3070
angles (deg): 90.00 90.00 120.00
Space group R3m (No. 160, hexagonal axes)
Unique sites:
Th1 0.0000 0.0000 0.0000 x3
Mn1 0.0000 0.0000 0.7332 x3
Zn1 0.0000 0.0000 0.2426 x3
Zn2 0.0000 0.0000 0.4422 x3
Zn3 0.0081 0.5041 0.8314 x9
Zn4 0.0109 0.5055 0.4956 x9
Zn5 0.0139 0.3157 0.3376 x18
Zn6 0.1683 0.3367 0.5176 x9



What did the seventh record say?
For YThMn17, a PBE-relaxed structure gives the theoretical powder X-ray diffraction pattern in this record (Cu Ka).
Kinematic intensities with the Lorentz-polarization factor, no thermal factor.

Most intense lines, 15 to 90 degrees two-theta, low angle first:
2θ/deg, Rel. int., (hkl)
24.88, 20, 0 2 1
30.80, 49, 1 1 3
32.43, 34, 2 1 1
35.84, 46, 3 0 0
38.99, 64, 0 2 4
41.62, 91, 2 2 0
42.89, 100, 3 0 3
44.43, 34, 2 1 4
45.63, 24, 2 0 5
46.51, 22, 0 0 6
61.30, 31, 1 4 3
83.74, 21, 0 4 8

Cell and atoms:
a b c (Å): 8.6796 8.6796 11.7149
angles (deg): 90.00 90.00 120.00
Space group R3m (No. 160, hexagonal axes)
Unique sites:
Y1 0.0000 0.0000 0.0000 x3
Th1 0.0000 0.0000 0.2933 x3
Mn1 0.0000 0.0000 0.5481 x3
Mn2 0.0000 0.0000 0.7463 x3
Mn3 0.0005 0.2731 0.6481 x18
Mn4 0.0134 0.5067 0.5079 x9
Mn5 0.1677 0.3353 0.4825 x9
Mn6 0.1735 0.3471 0.1189 x9



Number 4 is which compound?
ThMn12